Entry 1:
Calculated XRD peak list
Compound: Rb2ZrNiS
Radiation: Cu Ka
Structure: the GGA-PBE geometry in Alexandria
Lines closer than 0.1° are merged.

Structure:
```
data_Rb2ZrNiS
_chemical_formula_sum 'Rb2 Zr1 Ni1 S1'
_symmetry_space_group_name_H-M 'P 4/m m m'
_symmetry_Int_Tables_number 123
_symmetry_space_group_name_Hall '-P 4 2'
_cell_length_a 6.8191
_cell_length_b 6.8191
_cell_length_c 4.0343
_cell_angle_alpha 90.00
_cell_angle_beta 90.00
_cell_angle_gamma 90.00
loop_
_atom_site_label
_atom_site_type_symbol
_atom_site_fract_x
_atom_site_fract_y
_atom_site_fract_z
Rb1 Rb 0.0000 0.5000 0.0000
Zr1 Zr 0.0000 0.0000 0.5000
Ni1 Ni 0.5000 0.5000 0.5000
S1 S 0.5000 0.5000 0.0000
```

Principal peaks in the range 5° ≤ 2θ ≤ 70°, by angle:
2θ = 26.14°, intensity 97.7
2θ = 28.85°, intensity 100.0
2θ = 37.30°, intensity 37.1
2θ = 44.94°, intensity 10.7
2θ = 47.83°, intensity 48.4
2θ = 52.73°, intensity 26.3
2θ = 53.77°, intensity 12.4
2θ = 59.78°, intensity 17.8
2θ = 60.74°, intensity 16.9
2θ = 62.17°, intensity 10.8



Entry 2:
Calculated XRD peak list
Compound: Rb3U3NiSe8
Radiation: Cu Ka
Structure: the GGA-PBE geometry in Alexandria
Lines closer than 0.1° are merged.

Structure:
```
data_Rb3U3NiSe8
_chemical_formula_sum 'Rb6 U6 Ni2 Se16'
_symmetry_space_group_name_H-M 'C 1 2/m 1'
_symmetry_Int_Tables_number 12
_cell_length_a 14.1673
_cell_length_b 8.1836
_cell_length_c 9.4777
_cell_angle_alpha 90.00
_cell_angle_beta 119.88
_cell_angle_gamma 90.00
loop_
_symmetry_equiv_pos_as_xyz
'x,y,z'
'-x,-y,-z'
'-x,y,-z'
'x,-y,z'
'x+1/2,y+1/2,z'
'-x+1/2,-y+1/2,-z'
'-x+1/2,y+1/2,-z'
'x+1/2,-y+1/2,z'
loop_
_atom_site_label
_atom_site_type_symbol
_atom_site_fract_x
_atom_site_fract_y
_atom_site_fract_z
Rb1 Rb 0.0000 0.0000 0.0000
Rb2 Rb 0.2500 0.2500 0.0000
U1 U 0.0000 0.5000 0.5000
U2 U 0.2500 0.2500 0.5000
Ni1 Ni 0.0000 0.0000 0.5000
Se1 Se 0.0191 0.2410 0.3164
Se2 Se 0.2203 0.0000 0.6822
Se3 Se 0.2335 0.5000 0.7003
```

Principal peaks in the range 5° ≤ 2θ ≤ 70°, by angle:
2θ = 10.77°, intensity 70.4
2θ = 14.42°, intensity 12.3
2θ = 29.07°, intensity 100.0
2θ = 35.96°, intensity 23.0
2θ = 38.72°, intensity 35.5
2θ = 44.28°, intensity 37.0
2θ = 45.71°, intensity 12.9
2θ = 48.03°, intensity 12.8
2θ = 53.85°, intensity 17.6
2θ = 60.26°, intensity 10.4



Copy entry 1 word for word.
Calculated XRD peak list
Compound: Rb2ZrNiS
Radiation: Cu Ka
Structure: the GGA-PBE geometry in Alexandria
Lines closer than 0.1° are merged.

Structure:
```
data_Rb2ZrNiS
_chemical_formula_sum 'Rb2 Zr1 Ni1 S1'
_symmetry_space_group_name_H-M 'P 4/m m m'
_symmetry_Int_Tables_number 123
_symmetry_space_group_name_Hall '-P 4 2'
_cell_length_a 6.8191
_cell_length_b 6.8191
_cell_length_c 4.0343
_cell_angle_alpha 90.00
_cell_angle_beta 90.00
_cell_angle_gamma 90.00
loop_
_atom_site_label
_atom_site_type_symbol
_atom_site_fract_x
_atom_site_fract_y
_atom_site_fract_z
Rb1 Rb 0.0000 0.5000 0.0000
Zr1 Zr 0.0000 0.0000 0.5000
Ni1 Ni 0.5000 0.5000 0.5000
S1 S 0.5000 0.5000 0.0000
```

Principal peaks in the range 5° ≤ 2θ ≤ 70°, by angle:
2θ = 26.14°, intensity 97.7
2θ = 28.85°, intensity 100.0
2θ = 37.30°, intensity 37.1
2θ = 44.94°, intensity 10.7
2θ = 47.83°, intensity 48.4
2θ = 52.73°, intensity 26.3
2θ = 53.77°, intensity 12.4
2θ = 59.78°, intensity 17.8
2θ = 60.74°, intensity 16.9
2θ = 62.17°, intensity 10.8